No. 1
# Ho3Tl2Te
Calculated powder diffraction line list, λ = 1.5418 Å (Cu Kα). Input: a PBE-relaxed structure.

Structure:
a = 3.926 Å, b = 6.190 Å, c = 14.540 Å
α = 90.00°, β = 90.00°, γ = 90.00°
Space group Immm (No. 71)
Asymmetric unit:
Ho 0.000 0.000 0.000
Ho 0.000 0.000 0.338
Tl 0.000 0.500 0.330
Te 0.000 0.500 0.000

Main lines, most intense first (10 to 90 degrees two-theta):
2theta, I/Imax, index
29.3, 100.0, 1 0 3
41.6, 78.2, 1 2 3
28.8, 52.1, 0 2 0
37.1, 26.4, 0 0 6
47.7, 26.1, 0 2 6
67.9, 18.5, 1 4 3
68.6, 17.7, 2 2 6
55.4, 17.0, 2 2 0
69.9, 16.4, 1 2 9
46.2, 14.5, 2 0 0

---

No. 2
# K6Rb2AuS
Calculated powder diffraction line list, λ = 1.5418 Å (Cu Kα). Input: a PBE-relaxed structure.

Structure:
a = 13.160 Å, b = 13.170 Å, c = 9.293 Å
α = 90.00°, β = 134.79°, γ = 90.00°
Space group Cm (No. 8)
Asymmetric unit:
K 0.000 0.000 0.000
K 0.000 0.000 0.475
K 0.237 0.237 0.475
K 0.473 0.000 0.949
K 0.474 0.000 0.474
Rb 0.236 0.251 0.975
Au 0.237 0.500 0.474
S 0.237 0.000 0.474

Main lines, most intense first (10 to 90 degrees two-theta):
2theta, I/Imax, index
19.1, 100.0, 2 0 0
27.1, 88.0, 0 4 0
22.4, 36.5, 1 3 -1
11.6, 34.2, 1 1 0
38.6, 32.4, 0 4 2
38.7, 32.2, 4 4 -2
33.3, 24.9, 2 4 0
33.4, 24.7, 4 2 -3
13.4, 21.7, 0 2 0
43.5, 17.2, 0 6 1

---

No. 3
# Sn3SbSe2I5
Calculated powder diffraction line list, λ = 1.5418 Å (Cu Kα). Input: a PBE-relaxed structure.

Structure:
a = 14.861 Å, b = 4.293 Å, c = 13.582 Å
α = 90.00°, β = 101.72°, γ = 90.00°
Space group Cm (No. 8)
Asymmetric unit:
Sn 0.000 0.000 0.000
Sn 0.022 0.000 0.656
Sn 0.283 0.000 0.682
Sb 0.279 0.000 0.372
Se 0.392 0.500 0.773
Se 0.398 0.000 0.543
I 0.117 0.500 0.149
I 0.119 0.500 0.814
I 0.167 0.500 0.466
I 0.352 0.000 0.010
I 0.394 0.500 0.298

Main lines, most intense first (10 to 90 degrees two-theta):
2theta, I/Imax, index
27.7, 100.0, 3 1 0
28.7, 74.1, 1 1 -3
25.6, 43.6, 2 0 3
42.1, 43.5, 0 2 0
30.5, 42.1, 1 1 3
29.2, 39.5, 3 1 -2
32.5, 37.4, 3 1 2
28.4, 33.8, 4 0 -3
46.5, 21.8, 3 1 -6
37.5, 20.1, 5 1 -2

---

No. 4
# RbMgZnSn2
Calculated powder diffraction line list, λ = 1.5418 Å (Cu Kα). Input: a PBE-relaxed structure.

Structure:
a = 4.883 Å, b = 4.883 Å, c = 12.187 Å
α = 90.00°, β = 90.00°, γ = 90.00°
Space group I-4m2 (No. 119)
Asymmetric unit:
Rb 0.000 0.000 0.000
Mg 0.000 0.500 0.750
Zn 0.000 0.500 0.250
Sn 0.000 0.000 0.379

Main lines, most intense first (10 to 90 degrees two-theta):
2theta, I/Imax, index
28.6, 100.0, 1 0 3
36.8, 75.7, 2 0 0
29.7, 57.3, 1 1 2
25.8, 55.8, 1 1 0
47.3, 50.6, 2 1 3
41.4, 48.2, 1 0 5
39.4, 44.2, 1 1 4
19.6, 39.4, 1 0 1
56.6, 38.9, 2 1 5
53.1, 26.5, 2 2 0